For Li6CoSi2O8, a DFT-relaxed cell (PBE+U, Alexandria) gives the theoretical X-ray diffraction stick pattern in this record (CuKα).

Cell and atoms:
```
data_Li6CoSi2O8
_space_group_name_H-M_alt 'P -1'
_space_group_IT_number 2
_cell_length_a 5.096
_cell_length_b 5.530
_cell_length_c 6.230
_cell_angle_alpha 88.25
_cell_angle_beta 79.37
_cell_angle_gamma 84.46
loop_
_space_group_symop_operation_xyz
'x,y,z'
'-x,-y,-z'
loop_
_atom_site_label
_atom_site_fract_x
_atom_site_fract_y
_atom_site_fract_z
Li1 0.116 0.249 0.035
Li2 0.277 0.363 0.610
Li3 0.338 0.587 0.190
Co1 0.000 0.000 0.500
Si1 0.373 0.797 0.719
O1 0.193 0.058 0.773
O2 0.265 0.582 0.895
O3 0.298 0.219 0.296
O4 0.307 0.713 0.481
```

Largest 10 diffraction maxima, sorted by position, 2θ = 10–80°:
h k l  d [Å]  Rel. int.
0 0 1  6.122  69.5
0 1 0  5.504  35.1
0 1 1  4.120  100.0
1 1 0  3.879  41.6
1 0 -1  3.561  23.3
1 1 -1  3.073  40.2
1 0 2  2.851  26.6
1 -2 0  2.320  22.9
1 2 -1  2.243  35.4
1 1 3  1.930  26.9